Computed powder X-ray diffraction pattern
Compound: PmDyGe
Radiation: Cu Kα, 1.54184 Å
Structure: DFT lattice parameters and positions (GGA-PBE)
Peak positions follow from Bragg's law for the DFT cell and can differ from measured ones.

Main lines, by intensity (2θ from 15° to 90°):
- 2θ = 36.3°, 2.478 Å, I 100
- 2θ = 25.4°, 3.504 Å, I 46
- 2θ = 65.2°, 1.431 Å, I 36
- 2θ = 58.9°, 1.567 Å, I 18
- 2θ = 52.2°, 1.752 Å, I 18
- 2θ = 88.2°, 1.108 Å, I 16
- 2θ = 44.8°, 2.023 Å, I 14
- 2θ = 77.0°, 1.239 Å, I 11

Structural model:
abc: 4.9557 4.9557 4.9557
angles: 60.00 60.00 60.00
Fractional positions:
Pm (0.0000, 0.0000, 0.0000)
Dy (0.5000, 0.5000, 0.5000)
Ge (0.2500, 0.2500, 0.2500)

Computed powder X-ray diffraction pattern
Compound: AcTb4Te8
Radiation: Cu Kα, 1.54184 Å
Structure: DFT lattice parameters and positions (GGA-PBE)
Peak positions follow from Bragg's law for the DFT cell and can differ from measured ones.

Main lines, by intensity (2θ from 15° to 90°):
- 2θ = 28.2°, 3.167 Å, I 100
- 2θ = 38.9°, 2.317 Å, I 41
- 2θ = 41.6°, 2.169 Å, I 36
- 2θ = 51.0°, 1.790 Å, I 20
- 2θ = 64.0°, 1.455 Å, I 18
- 2θ = 67.9°, 1.380 Å, I 16
- 2θ = 58.3°, 1.584 Å, I 12
- 2θ = 74.1°, 1.279 Å, I 12

Structural model:
abc: 9.3123 9.3123 9.3123
angles: 55.53 55.53 55.53
Fractional positions:
Ac (0.0000, 0.0000, 0.0000)
Tb (0.0000, 0.0000, 0.5000)
Tb (0.0000, 0.5000, 0.0000)
Tb (0.5000, 0.0000, 0.0000)
Tb (0.5000, 0.5000, 0.5000)
Te (0.2427, 0.2427, 0.2427)
Te (0.2504, 0.7414, 0.7414)
Te (0.2586, 0.2586, 0.7496)
Te (0.2586, 0.7496, 0.2586)
Te (0.7414, 0.2504, 0.7414)
Te (0.7414, 0.7414, 0.2504)
Te (0.7496, 0.2586, 0.2586)
Te (0.7573, 0.7573, 0.7573)

Computed powder X-ray diffraction pattern
Compound: LaY2As3
Radiation: Cu Kα, 1.54184 Å
Structure: DFT lattice parameters and positions (GGA-PBE)
Peak positions follow from Bragg's law for the DFT cell and can differ from measured ones.

Main lines, by intensity (2θ from 15° to 90°):
- 2θ = 30.0°, 2.978 Å, I 100
- 2θ = 42.9°, 2.106 Å, I 74
- 2θ = 53.3°, 1.719 Å, I 26
- 2θ = 70.8°, 1.331 Å, I 21
- 2θ = 78.7°, 1.215 Å, I 16
- 2θ = 70.6°, 1.334 Å, I 11
- 2θ = 78.6°, 1.217 Å, I 8
- 2θ = 62.4°, 1.488 Å, I 8

Structural model:
abc: 7.2896 7.2896 7.2896
angles: 146.44 131.67 60.12
Fractional positions:
La (0.0000, 0.0000, 0.0000)
Y (0.3342, 0.3342, 0.0000)
Y (0.6658, 0.6658, 0.0000)
As (0.1735, 0.6735, 0.5000)
As (0.5000, 0.0000, 0.5000)
As (0.8265, 0.3265, 0.5000)

Computed powder X-ray diffraction pattern
Compound: Y3Ru2
Radiation: Cu Kα, 1.54184 Å
Structure: DFT lattice parameters and positions (GGA-PBE)
Peak positions follow from Bragg's law for the DFT cell and can differ from measured ones.

Main lines, by intensity (2θ from 15° to 90°):
- 2θ = 40.7°, 2.219 Å, I 100
- 2θ = 30.1°, 2.971 Å, I 91
- 2θ = 33.0°, 2.713 Å, I 75
- 2θ = 35.7°, 2.518 Å, I 50
- 2θ = 64.1°, 1.453 Å, I 44
- 2θ = 40.9°, 2.207 Å, I 31
- 2θ = 53.5°, 1.714 Å, I 30
- 2θ = 23.1°, 3.846 Å, I 23

Structural model:
abc: 7.6911 7.6911 4.6789
angles: 90.00 90.00 120.00
Fractional positions:
Y (0.0806, 0.6961, 0.2500)
Y (0.3039, 0.3845, 0.2500)
Y (0.3845, 0.0806, 0.7500)
Y (0.6155, 0.9194, 0.2500)
Y (0.6961, 0.6155, 0.7500)
Y (0.9194, 0.3039, 0.7500)
Ru (0.0000, 0.0000, 0.0000)
Ru (0.0000, 0.0000, 0.5000)
Ru (0.3333, 0.6667, 0.7500)
Ru (0.6667, 0.3333, 0.2500)

Computed powder X-ray diffraction pattern
Compound: Tb6In2Pd
Radiation: Cu Kα, 1.54184 Å
Structure: DFT lattice parameters and positions (GGA-PBE)
Peak positions follow from Bragg's law for the DFT cell and can differ from measured ones.

Main lines, by intensity (2θ from 15° to 90°):
- 2θ = 35.1°, 2.557 Å, I 100
- 2θ = 24.8°, 3.587 Å, I 21
- 2θ = 63.0°, 1.476 Å, I 21
- 2θ = 35.7°, 2.518 Å, I 19
- 2θ = 50.9°, 1.793 Å, I 13
- 2θ = 63.7°, 1.461 Å, I 13
- 2θ = 24.4°, 3.647 Å, I 11
- 2θ = 21.2°, 4.185 Å, I 10

Structural model:
abc: 8.7691 8.7691 8.7691
angles: 146.13 130.86 61.03
Fractional positions:
Tb (0.0830, 0.3420, 0.7410)
Tb (0.2313, 0.0000, 0.2313)
Tb (0.3990, 0.6580, 0.7410)
Tb (0.6010, 0.3420, 0.2590)
Tb (0.7687, 0.0000, 0.7687)
Tb (0.9170, 0.6580, 0.2590)
In (0.3328, 0.8328, 0.5000)
In (0.6672, 0.1672, 0.5000)
Pd (0.0000, 0.5000, 0.5000)

Computed powder X-ray diffraction pattern
Compound: NpTiS4
Radiation: Cu Kα, 1.54184 Å
Structure: DFT lattice parameters and positions (GGA-PBE)
Peak positions follow from Bragg's law for the DFT cell and can differ from measured ones.

Main lines, by intensity (2θ from 15° to 90°):
- 2θ = 33.0°, 2.712 Å, I 100
- 2θ = 28.1°, 3.179 Å, I 64
- 2θ = 42.5°, 2.128 Å, I 47
- 2θ = 34.5°, 2.598 Å, I 45
- 2θ = 24.9°, 3.571 Å, I 42
- 2θ = 17.5°, 5.060 Å, I 37
- 2θ = 28.7°, 3.113 Å, I 36
- 2θ = 47.6°, 1.912 Å, I 33

Structural model:
abc: 6.8861 6.8861 6.3722
angles: 101.85 101.85 31.30
Fractional positions:
Np (0.0000, 0.0000, 0.0000)
Ti (0.5000, 0.5000, 0.5000)
S (0.1056, 0.1056, 0.3976)
S (0.3898, 0.3898, 0.1418)
S (0.6102, 0.6102, 0.8582)
S (0.8944, 0.8944, 0.6024)

Computed powder X-ray diffraction pattern
Compound: Y4CuI5
Radiation: Cu Kα, 1.54184 Å
Structure: DFT lattice parameters and positions (GGA-PBE)
Peak positions follow from Bragg's law for the DFT cell and can differ from measured ones.

Main lines, by intensity (2θ from 15° to 90°):
- 2θ = 29.6°, 3.023 Å, I 100
- 2θ = 28.6°, 3.118 Å, I 49
- 2θ = 41.4°, 2.180 Å, I 35
- 2θ = 41.8°, 2.160 Å, I 32
- 2θ = 40.5°, 2.229 Å, I 18
- 2θ = 44.0°, 2.056 Å, I 17
- 2θ = 53.4°, 1.716 Å, I 17
- 2θ = 26.0°, 3.433 Å, I 15

Structural model:
abc: 9.8058 9.8058 8.9179
angles: 102.38 102.38 24.21
Fractional positions:
Y (0.0002, 0.0002, 0.2094)
Y (0.9998, 0.9998, 0.7906)
Y (0.3558, 0.3558, 0.9259)
Y (0.6442, 0.6442, 0.0741)
Cu (0.5000, 0.5000, 0.0000)
I (0.1678, 0.1678, 0.3431)
I (0.1758, 0.1758, 0.8278)
I (0.5000, 0.5000, 0.5000)
I (0.8242, 0.8242, 0.1722)
I (0.8322, 0.8322, 0.6569)

Computed powder X-ray diffraction pattern
Compound: Ce2ErPaAs4
Radiation: Cu Kα, 1.54184 Å
Structure: DFT lattice parameters and positions (GGA-PBE)
Peak positions follow from Bragg's law for the DFT cell and can differ from measured ones.

Main lines, by intensity (2θ from 15° to 90°):
- 2θ = 30.4°, 2.937 Å, I 100
- 2θ = 43.5°, 2.079 Å, I 50
- 2θ = 43.7°, 2.072 Å, I 25
- 2θ = 26.3°, 3.395 Å, I 19
- 2θ = 54.1°, 1.695 Å, I 13
- 2θ = 63.3°, 1.468 Å, I 12
- 2θ = 71.9°, 1.314 Å, I 11
- 2θ = 72.0°, 1.311 Å, I 11

Structural model:
abc: 7.1708 4.1538 7.2146
angles: 90.00 109.44 90.00
Fractional positions:
Ce (0.0000, 0.0000, 0.0000)
Ce (0.5000, 0.5000, 0.0000)
Er (0.0000, 0.5000, 0.5000)
Pa (0.5000, 0.0000, 0.5000)
As (0.2484, 0.0000, 0.7405)
As (0.2533, 0.5000, 0.2600)
As (0.7467, 0.5000, 0.7400)
As (0.7516, 0.0000, 0.2595)